[1]
Diffraction record for CsGaAgF6. The X-ray diffraction stick pattern is calculated, not measured: it uses a crystal structure in Alexandria, relaxed with GGA-PBE and Cu Kα, 1.54184 Å.

Peak list (10 most intense, 2θ = 5–70°, sorted by position)
2θ (°)	I_rel
23.6	44
27.5	65
27.7	100
27.8	32
28.8	30
29.0	20
43.8	30
44.2	21
47.7	18
48.2	43

Atomic structure:
abc: 7.5403 7.6300 10.6191
angles: 90.00 90.00 90.00
Fractional coordinates of all 36 atoms:
Cs 0.0215 0.2500 0.1253
Cs 0.4785 0.7500 0.6253
Cs 0.5215 0.2500 0.3747
Cs 0.9785 0.7500 0.8747
Ga 0.0000 0.0000 0.5000
Ga 0.0000 0.5000 0.5000
Ga 0.5000 0.0000 0.0000
Ga 0.5000 0.5000 0.0000
Ag 0.1991 0.2500 0.7536
Ag 0.3009 0.7500 0.2536
Ag 0.6991 0.2500 0.7464
Ag 0.8009 0.7500 0.2464
F 0.0534 0.7500 0.1717
F 0.0639 0.2500 0.4923
F 0.1231 0.5160 0.6577
F 0.1231 0.9840 0.6577
F 0.2177 0.5484 0.4162
F 0.2177 0.9516 0.4162
F 0.2823 0.0484 0.9162
F 0.2823 0.4516 0.9162
F 0.3769 0.0160 0.1577
F 0.3769 0.4840 0.1577
F 0.4361 0.7500 0.9923
F 0.4466 0.2500 0.6717
F 0.5534 0.7500 0.3283
F 0.5639 0.2500 0.0077
F 0.6231 0.5160 0.8423
F 0.6231 0.9840 0.8423
F 0.7177 0.5484 0.0838
F 0.7177 0.9516 0.0838
F 0.7823 0.0484 0.5838
F 0.7823 0.4516 0.5838
F 0.8769 0.0160 0.3423
F 0.8769 0.4840 0.3423
F 0.9361 0.7500 0.5077
F 0.9466 0.2500 0.8283

---

[2]
Diffraction record for CsAgH3F6. The X-ray diffraction stick pattern is calculated, not measured: it uses a crystal structure in Alexandria, relaxed with GGA-PBE and Cu Kα, 1.54184 Å.

Peak list (10 most intense, 2θ = 5–70°, sorted by position)
2θ (°)	I_rel
21.6	100
24.4	68
32.8	52
38.0	26
39.6	61
49.9	15
51.0	23
55.0	23
59.6	22
60.8	15

Atomic structure:
abc: 5.5265 5.5265 5.5265
angles: 95.98 95.98 95.98
Fractional coordinates of all 11 atoms:
Cs 0.0000 0.0000 0.0000
Ag 0.5000 0.5000 0.5000
H 0.0000 0.5000 0.5000
H 0.5000 0.0000 0.5000
H 0.5000 0.5000 0.0000
F 0.1152 0.3457 0.5462
F 0.3457 0.5462 0.1152
F 0.4538 0.8848 0.6543
F 0.5462 0.1152 0.3457
F 0.6543 0.4538 0.8848
F 0.8848 0.6543 0.4538

---

Number 2 is which compound?
CsAgH3F6